Theoretical powder X-ray diffraction pattern
Compound: Tb3Co11B4
Radiation: copper Kα
Structure: a cell relaxed with GGA-PBE
No peak broadening, texture or thermal motion is included.

The 8 most intense peaks (15° ≤ 2θ ≤ 90°), low angle first:
d [Å], I_rel, hkl
4.360, 24, 1 0 0
2.608, 100, 1 0 3
2.517, 29, 1 1 0
2.180, 89, 2 0 0
1.991, 93, 1 1 3
1.470, 34, 2 1 3
1.327, 23, 3 0 3
1.259, 21, 2 2 0

Lattice parameters (Å, degrees): 5.0347 5.0347 9.7627 90.00 90.00 120.00
Space group P6/mmm (No. 191)
Symmetry-distinct sites (fractional):
1 Tb 0.0000 0.0000 0.0000 [1 per cell]
2 Tb 0.0000 0.0000 0.3419 [2 per cell]
3 Co 0.0000 0.5000 0.2020 [6 per cell]
4 Co 0.0000 0.5000 0.5000 [3 per cell]
5 Co 0.3333 0.6667 0.0000 [2 per cell]
6 B 0.3333 0.6667 0.3496 [4 per cell]

=====

Theoretical powder X-ray diffraction pattern
Compound: Li6InSn6
Radiation: copper Kα
Structure: a cell relaxed with GGA-PBE
No peak broadening, texture or thermal motion is included.

The 8 most intense peaks (15° ≤ 2θ ≤ 90°), low angle first:
d [Å], I_rel, hkl
4.712, 100, 0 0 2
3.496, 65, 1 1 2
2.842, 58, 0 4 0
2.638, 37, 1 3 2
2.608, 93, 2 2 0
2.434, 43, 0 4 2
2.282, 70, 2 2 2
1.748, 55, 2 2 4

Lattice parameters (Å, degrees): 5.8693 11.3693 9.4234 90.00 90.00 90.00
Space group Cmmm (No. 65)
Symmetry-distinct sites (fractional):
1 Li 0.0000 0.0000 0.1752 [4 per cell]
2 Li 0.0000 0.3410 0.5000 [4 per cell]
3 Li 0.0000 0.3476 0.0000 [4 per cell]
4 In 0.0000 0.0000 0.5000 [2 per cell]
5 Sn 0.0000 0.5000 0.2544 [4 per cell]
6 Sn 0.2500 0.2500 0.2512 [8 per cell]

=====

Theoretical powder X-ray diffraction pattern
Compound: NaGa5Pt2
Radiation: copper Kα
Structure: a cell relaxed with GGA-PBE
No peak broadening, texture or thermal motion is included.

The 8 most intense peaks (15° ≤ 2θ ≤ 90°), low angle first:
d [Å], I_rel, hkl
5.131, 100, 0 0 2
3.429, 81, 1 1 0
2.851, 80, 1 1 2
2.608, 51, 1 2 1
2.123, 86, 0 2 4
2.107, 74, 1 3 0
2.054, 79, 1 1 4
1.426, 48, 2 2 4

Lattice parameters (Å, degrees): 3.8487 7.5558 10.2629 90.00 90.00 90.00
Space group Immm (No. 71)
Symmetry-distinct sites (fractional):
1 Na 0.0000 0.0000 0.0000 [2 per cell]
2 Ga 0.0000 0.2059 0.3585 [8 per cell]
3 Ga 0.0000 0.5000 0.0000 [2 per cell]
4 Pt 0.0000 0.5000 0.2397 [4 per cell]

=====

Theoretical powder X-ray diffraction pattern
Compound: Pm6SmHo4
Radiation: copper Kα
Structure: a cell relaxed with GGA-PBE
No peak broadening, texture or thermal motion is included.

The 8 most intense peaks (15° ≤ 2θ ≤ 90°), low angle first:
d [Å], I_rel, hkl
2.970, 46, 1 1 7
2.929, 100, 2 0 0
2.825, 58, 1 3 0
2.808, 41, 1 3 1
2.713, 47, 1 1 8
2.072, 32, 2 2 7
1.669, 12, 3 3 0
1.645, 20, 3 1 8

Lattice parameters (Å, degrees): 5.8531 9.6756 25.8154 90.00 90.00 90.00
Space group Cmcm (No. 63)
Symmetry-distinct sites (fractional):
1 Pm 0.0000 0.0000 0.0000 [4 per cell]
2 Pm 0.0000 0.0527 0.2500 [4 per cell]
3 Pm 0.0000 0.2977 0.6006 [8 per cell]
4 Pm 0.0000 0.3795 0.1813 [8 per cell]
5 Sm 0.0000 0.2858 0.7500 [4 per cell]
6 Ho 0.0000 0.0456 0.1233 [8 per cell]
7 Ho 0.0000 0.3508 0.0436 [8 per cell]

=====

Theoretical powder X-ray diffraction pattern
Compound: RbTl2Hg6
Radiation: copper Kα
Structure: a cell relaxed with GGA-PBE
No peak broadening, texture or thermal motion is included.

The 8 most intense peaks (15° ≤ 2θ ≤ 90°), low angle first:
d [Å], I_rel, hkl
3.110, 33, 1 1 2
2.939, 63, 1 2 1
2.864, 100, 0 3 3
2.500, 31, 1 1 4
2.397, 36, 1 3 2
2.273, 40, 1 0 5
1.534, 31, 2 3 3
1.480, 27, 1 3 8

Lattice parameters (Å, degrees): 3.6337 10.6387 14.5691 90.00 90.00 90.00
Space group Immm (No. 71)
Symmetry-distinct sites (fractional):
1 Rb 0.0000 0.0000 0.0000 [2 per cell]
2 Tl 0.0000 0.5000 0.1295 [4 per cell]
3 Hg 0.0000 0.1935 0.5000 [4 per cell]
4 Hg 0.0000 0.3369 0.3128 [8 per cell]

=====

Theoretical powder X-ray diffraction pattern
Compound: Sr3Nd2Nb10O30
Radiation: copper Kα
Structure: a cell relaxed with GGA-PBE
No peak broadening, texture or thermal motion is included.

The 8 most intense peaks (15° ≤ 2θ ≤ 90°), low angle first:
d [Å], I_rel, hkl
3.551, 28, 0 1 5
3.264, 59, 1 3 1
3.100, 31, 0 3 5
3.088, 37, 0 5 3
2.862, 33, 0 2 6
2.839, 100, 0 6 2
2.830, 64, 1 4 2
1.990, 44, 2 0 0

Lattice parameters (Å, degrees): 3.9806 17.9684 18.1125 90.00 90.00 90.00
Space group Amm2 (No. 38)
Symmetry-distinct sites (fractional):
1 Sr 0.0000 0.0000 0.0000 [2 per cell]
2 Sr 0.0000 0.1693 0.6965 [4 per cell]
3 Nd 0.0000 0.2459 0.4194 [4 per cell]
4 Nb 0.5000 0.0000 0.1576 [2 per cell]
5 Nb 0.5000 0.0000 0.6574 [2 per cell]
6 Nb 0.5000 0.1033 0.4785 [4 per cell]
7 Nb 0.5000 0.1039 0.8435 [4 per cell]
8 Nb 0.5000 0.1821 0.2682 [4 per cell]
9 Nb 0.5000 0.1842 0.0574 [4 per cell]
10 O 0.0000 0.0000 0.1413 [2 per cell]
11 O 0.0000 0.0000 0.6560 [2 per cell]
12 O 0.0000 0.1095 0.8443 [4 per cell]
13 O 0.0000 0.1182 0.4675 [4 per cell]
14 O 0.0000 0.1881 0.0411 [4 per cell]
15 O 0.0000 0.1929 0.2696 [4 per cell]
16 O 0.5000 0.0000 0.4473 [2 per cell]
17 O 0.5000 0.0000 0.8875 [2 per cell]
18 O 0.5000 0.0756 0.0628 [4 per cell]
19 O 0.5000 0.0790 0.7343 [4 per cell]
20 O 0.5000 0.0821 0.2246 [4 per cell]
21 O 0.5000 0.0853 0.5821 [4 per cell]
22 O 0.5000 0.1617 0.3735 [4 per cell]
23 O 0.5000 0.1634 0.9340 [4 per cell]
24 O 0.5000 0.2080 0.7913 [4 per cell]
25 O 0.5000 0.2171 0.5039 [4 per cell]
26 O 0.5000 0.2255 0.1548 [4 per cell]

=====

Theoretical powder X-ray diffraction pattern
Compound: Tb5PmAg6
Radiation: copper Kα
Structure: a cell relaxed with GGA-PBE
No peak broadening, texture or thermal motion is included.

The 8 most intense peaks (15° ≤ 2θ ≤ 90°), low angle first:
d [Å], I_rel, hkl
2.604, 51, 2 0 -1
2.587, 100, 1 2 1
1.846, 9, 2 0 2
1.838, 9, 2 0 -4
1.817, 9, 0 4 0
1.502, 18, 3 2 0
1.499, 18, 3 2 -3
1.490, 18, 2 4 -1

Lattice parameters (Å, degrees): 5.2066 7.2678 8.2288 90.00 108.20 90.00
Space group P2/m (No. 10)
Symmetry-distinct sites (fractional):
1 Tb 0.0000 0.0000 0.0000 [1 per cell]
2 Tb 0.3326 0.5000 0.6652 [2 per cell]
3 Tb 0.3340 0.0000 0.6681 [2 per cell]
4 Pm 0.0000 0.5000 0.0000 [1 per cell]
5 Ag 0.1688 0.2470 0.3377 [4 per cell]
6 Ag 0.5000 0.2442 0.0000 [2 per cell]

=====

Theoretical powder X-ray diffraction pattern
Compound: PaPbC2O8
Radiation: copper Kα
Structure: a cell relaxed with GGA-PBE
No peak broadening, texture or thermal motion is included.

The 8 most intense peaks (15° ≤ 2θ ≤ 90°), low angle first:
d [Å], I_rel, hkl
4.414, 100, 1 1 0
4.162, 48, 2 0 0
3.822, 34, 0 0 2
2.889, 92, 1 1 2
2.815, 29, 2 0 2
2.449, 30, 3 1 0
2.152, 23, 0 2 2
1.911, 37, 2 2 2

Lattice parameters (Å, degrees): 8.3236 5.2067 7.6444 90.00 90.17 90.00
Space group C2/m (No. 12)
Symmetry-distinct sites (fractional):
1 Pa 0.0000 0.0000 0.0000 [2 per cell]
2 Pb 0.0000 0.0000 0.5000 [2 per cell]
3 C 0.1470 0.5000 0.2398 [4 per cell]
4 O 0.0520 0.2796 0.2115 [8 per cell]
5 O 0.2050 0.5000 0.4054 [4 per cell]
6 O 0.2313 0.0000 0.8895 [4 per cell]

=====

Copy entry 8 word for word.
Theoretical powder X-ray diffraction pattern
Compound: PaPbC2O8
Radiation: copper Kα
Structure: a cell relaxed with GGA-PBE
No peak broadening, texture or thermal motion is included.

The 8 most intense peaks (15° ≤ 2θ ≤ 90°), low angle first:
d [Å], I_rel, hkl
4.414, 100, 1 1 0
4.162, 48, 2 0 0
3.822, 34, 0 0 2
2.889, 92, 1 1 2
2.815, 29, 2 0 2
2.449, 30, 3 1 0
2.152, 23, 0 2 2
1.911, 37, 2 2 2

Lattice parameters (Å, degrees): 8.3236 5.2067 7.6444 90.00 90.17 90.00
Space group C2/m (No. 12)
Symmetry-distinct sites (fractional):
1 Pa 0.0000 0.0000 0.0000 [2 per cell]
2 Pb 0.0000 0.0000 0.5000 [2 per cell]
3 C 0.1470 0.5000 0.2398 [4 per cell]
4 O 0.0520 0.2796 0.2115 [8 per cell]
5 O 0.2050 0.5000 0.4054 [4 per cell]
6 O 0.2313 0.0000 0.8895 [4 per cell]